Computed XRD peak list of Li4V2Si3O12 for CuKα, from a GGA+U-relaxed structure.

```
data_Li4V2Si3O12
_chemical_formula_sum 'Li24 V12 Si18 O72'
_cell_length_a 8.9305
_cell_length_b 8.9305
_cell_length_c 20.1547
_cell_angle_alpha 90.00
_cell_angle_beta 90.00
_cell_angle_gamma 120.00
_symmetry_space_group_name_H-M 'R -3 c'
_symmetry_Int_Tables_number 167
_symmetry_space_group_name_Hall '-R 3 2"c'
loop_
_atom_site_label
_atom_site_type_symbol
_atom_site_fract_x
_atom_site_fract_y
_atom_site_fract_z
_atom_site_occupancy
Li1 Li 0.0000 0.0000 0.0000 1
Li2 Li 0.0000 0.4133 0.2500 1
V1 V 0.0000 0.0000 0.1394 1
Si1 Si 0.0000 0.2903 0.7500 1
O1 O 0.0075 0.1924 0.6826 1
O2 O 0.0162 0.1806 0.4240 1
```

Peak list (10 most intense, 2θ from 5° to 70°, low angle first)
| h k l | 2θ/deg | intensity |
| --- | --- | --- |
| 1 1 0 | 19.88 | 382 |
| 1 0 4 | 21.04 | 700 |
| 1 1 3 | 23.93 | 1000 |
| 0 2 4 | 29.11 | 346 |
| 2 1 1 | 30.91 | 283 |
| 1 1 6 | 33.38 | 311 |
| 3 0 0 | 34.80 | 227 |
| 2 1 4 | 35.50 | 163 |
| 1 2 8 | 47.65 | 233 |
| 4 1 0 | 54.36 | 167 |